The following is a simulated powder diffraction line list of Sr2FeBiPbO6. It was derived from a DFT-relaxed cell (PBE+U, Alexandria), using Cu Kα (weighted mean of Kα1 and Kα2).
Lines closer than 0.1° are merged.

Top 12 peaks for 10 to 80 degrees two-theta, sorted by position:
d/Å  Rel. int.
3.425  467
3.024  204
2.980  1000
2.675  633
2.419  139
2.003  334
1.891  269
1.794  173
1.670  180
1.603  132
1.597  336
1.252  146

Cell and atoms:
Lattice parameters (Å, degrees): 3.7827 3.7827 24.1891 90.00 90.00 90.00
Space group I4mm (No. 107)
One atom of each set of equivalent atoms:
Sr 0.0000 0.0000 0.0000 x2
Sr 0.0000 0.0000 0.1576 x2
Fe 0.0000 0.0000 0.5723 x2
Bi 0.0000 0.0000 0.7723 x2
Pb 0.0000 0.0000 0.3909 x2
O 0.0000 0.0000 0.2692 x2
O 0.0000 0.0000 0.4895 x2
O 0.0000 0.0000 0.6854 x2
O 0.0000 0.0000 0.8956 x2
O 0.0000 0.5000 0.0832 x4